1.
For Pr7I3O18, a DFT-relaxed cell (PBE, the Materials Project) gives the calculated X-ray powder pattern in this record (Cu Kα X-rays).
Neutral-atom scattering factors, no anomalous dispersion.

Atomic structure:
Cell: 17.001 17.001 4.226 Å, 90.00 90.00 120.00°
Sites, in units of the cell vectors:
Pr  0.048  0.842  0.250
Pr  0.133  0.443  0.750
Pr  0.158  0.206  0.250
Pr  0.206  0.048  0.750
Pr  0.310  0.867  0.750
Pr  0.333  0.667  0.250
Pr  0.443  0.310  0.250
Pr  0.557  0.690  0.750
Pr  0.667  0.333  0.750
Pr  0.690  0.133  0.250
Pr  0.794  0.952  0.250
Pr  0.842  0.794  0.750
Pr  0.867  0.557  0.250
Pr  0.952  0.158  0.750
I  0.109  0.651  0.750
I  0.349  0.458  0.750
I  0.458  0.109  0.250
I  0.542  0.891  0.750
I  0.651  0.542  0.250
I  0.891  0.349  0.250
O  0.016  0.310  0.750
O  0.080  0.908  0.750
O  0.092  0.172  0.750
O  0.113  0.504  0.250
O  0.148  0.777  0.750
O  0.172  0.080  0.250
O  0.205  0.511  0.250
O  0.223  0.371  0.750
O  0.225  0.653  0.750
O  0.294  0.984  0.750
O  0.306  0.795  0.250
O  0.310  0.294  0.250
O  0.347  0.572  0.750
O  0.371  0.148  0.250
O  0.391  0.887  0.250
O  0.428  0.775  0.750
O  0.489  0.694  0.250
O  0.496  0.609  0.250
O  0.504  0.391  0.750
O  0.511  0.306  0.750
O  0.572  0.225  0.250
O  0.609  0.113  0.750
O  0.629  0.852  0.750
O  0.653  0.428  0.250
O  0.690  0.706  0.750
O  0.694  0.205  0.750
O  0.706  0.016  0.250
O  0.775  0.347  0.250
O  0.777  0.629  0.250
O  0.795  0.489  0.750
O  0.828  0.920  0.750
O  0.852  0.223  0.250
O  0.887  0.496  0.750
O  0.908  0.828  0.250
O  0.920  0.092  0.250
O  0.984  0.690  0.250

Main lines, by angle (2θ from 15° to 90°):
- 20.90°, I = 16, hkl 2 2 0
- 26.48°, I = 100, hkl 1 2 1
- 27.78°, I = 96, hkl 4 1 0
- 33.96°, I = 22, hkl 2 3 1
- 38.75°, I = 22, hkl 2 4 1
- 42.79°, I = 21, hkl 0 0 2
- 48.32°, I = 25, hkl 7 0 1
- 51.78°, I = 31, hkl 4 1 2



2.
For PrI3O10, a DFT-relaxed cell (PBE, the Materials Project) gives the calculated X-ray powder pattern in this record (Cu Kα X-rays).
Neutral-atom scattering factors, no anomalous dispersion.

Atomic structure:
Cell: 7.552 6.739 10.297 Å, 90.00 110.19 90.00°
Sites, in units of the cell vectors:
Pr  0.239  0.000  0.312
Pr  0.761  0.500  0.688
I  0.113  0.134  0.919
I  0.166  0.526  0.538
I  0.471  0.474  0.276
I  0.529  0.974  0.724
I  0.834  0.026  0.462
I  0.887  0.634  0.081
O  0.036  0.396  0.891
O  0.045  0.639  0.647
O  0.097  0.716  0.401
O  0.257  0.162  0.102
O  0.283  0.838  0.911
O  0.302  0.147  0.843
O  0.302  0.363  0.350
O  0.345  0.709  0.219
O  0.348  0.056  0.565
O  0.409  0.597  0.638
O  0.591  0.097  0.362
O  0.652  0.556  0.435
O  0.655  0.209  0.781
O  0.698  0.647  0.157
O  0.698  0.863  0.650
O  0.717  0.338  0.089
O  0.743  0.662  0.898
O  0.903  0.216  0.599
O  0.955  0.139  0.353
O  0.964  0.896  0.109

Main lines, by angle (2θ from 15° to 90°):
- 22.26°, I = 65, hkl 1 1 1
- 22.64°, I = 49, hkl 0 1 2
- 25.65°, I = 47, hkl 1 0 2
- 26.14°, I = 37, hkl 1 0 -3
- 26.45°, I = 45, hkl 0 2 0
- 27.07°, I = 100, hkl 2 1 -1
- 28.81°, I = 40, hkl 2 1 -2
- 29.36°, I = 59, hkl 1 1 -3



3.
For PrIO, a DFT-relaxed cell (PBE, the Materials Project) gives the calculated X-ray powder pattern in this record (Cu Kα X-rays).
Neutral-atom scattering factors, no anomalous dispersion.

Atomic structure:
Cell: 4.125 4.125 9.890 Å, 90.00 90.00 90.00°
Sites, in units of the cell vectors:
Pr  0.250  0.250  0.119
Pr  0.750  0.750  0.881
I  0.250  0.250  0.686
I  0.750  0.750  0.314
O  0.250  0.750  0.000
O  0.750  0.250  0.000

Main lines, by angle (2θ from 15° to 90°):
- 28.17°, I = 100, hkl 1 0 2
- 30.65°, I = 47, hkl 1 1 0
- 34.84°, I = 26, hkl 1 0 3
- 43.90°, I = 22, hkl 2 0 0
- 48.25°, I = 11, hkl 1 1 4
- 52.98°, I = 34, hkl 2 1 2
- 56.19°, I = 16, hkl 1 1 5
- 57.23°, I = 12, hkl 2 1 3



4.
For PrI3O9, a DFT-relaxed cell (PBE, the Materials Project) gives the calculated X-ray powder pattern in this record (Cu Kα X-rays).
Neutral-atom scattering factors, no anomalous dispersion.

Atomic structure:
Cell: 8.974 6.056 17.075 Å, 90.00 114.79 90.00°
Sites, in units of the cell vectors:
Pr  0.139  0.232  0.100
Pr  0.139  0.268  0.600
Pr  0.861  0.732  0.400
Pr  0.861  0.768  0.900
I  0.069  0.187  0.351
I  0.069  0.313  0.851
I  0.360  0.636  0.523
I  0.360  0.864  0.023
I  0.416  0.590  0.802
I  0.416  0.910  0.302
I  0.584  0.090  0.698
I  0.584  0.410  0.198
I  0.640  0.136  0.977
I  0.640  0.364  0.477
I  0.931  0.687  0.149
I  0.931  0.813  0.649
O  0.063  0.049  0.704
O  0.063  0.451  0.204
O  0.091  0.091  0.458
O  0.091  0.409  0.958
O  0.095  0.607  0.671
O  0.095  0.893  0.171
O  0.135  0.599  0.491
O  0.135  0.901  0.991
O  0.332  0.587  0.883
O  0.332  0.913  0.383
O  0.343  0.183  0.255
O  0.343  0.317  0.755
O  0.359  0.087  0.947
O  0.359  0.413  0.447
O  0.370  0.501  0.131
O  0.370  0.999  0.631
O  0.403  0.033  0.120
O  0.403  0.467  0.620
O  0.597  0.533  0.380
O  0.597  0.967  0.880
O  0.630  0.001  0.369
O  0.630  0.499  0.869
O  0.641  0.587  0.553
O  0.641  0.913  0.053
O  0.657  0.683  0.245
O  0.657  0.817  0.745
O  0.668  0.087  0.617
O  0.668  0.413  0.117
O  0.865  0.099  0.009
O  0.865  0.401  0.509
O  0.905  0.107  0.829
O  0.905  0.393  0.329
O  0.909  0.591  0.042
O  0.909  0.909  0.542
O  0.937  0.549  0.796
O  0.937  0.951  0.296

Main lines, by angle (2θ from 15° to 90°):
- 20.47°, I = 24, hkl 1 1 1
- 22.62°, I = 49, hkl 0 1 3
- 25.56°, I = 100, hkl 1 1 -4
- 26.37°, I = 78, hkl 2 1 0
- 29.38°, I = 36, hkl 1 0 4
- 31.19°, I = 24, hkl 1 2 -1
- 31.31°, I = 25, hkl 3 0 -4
- 42.43°, I = 20, hkl 2 0 -8



5.
For PrI3O9, a DFT-relaxed cell (PBE, the Materials Project) gives the calculated X-ray powder pattern in this record (Cu Kα X-rays).
Neutral-atom scattering factors, no anomalous dispersion.

Atomic structure:
Cell: 6.968 8.275 6.655 Å, 90.00 90.00 90.00°
Sites, in units of the cell vectors:
Pr  0.250  0.250  0.115
Pr  0.750  0.750  0.885
I  0.250  0.545  0.640
I  0.250  0.750  0.104
I  0.250  0.955  0.640
I  0.750  0.045  0.360
I  0.750  0.250  0.896
I  0.750  0.455  0.360
O  0.071  0.607  0.971
O  0.071  0.893  0.971
O  0.072  0.750  0.595
O  0.250  0.015  0.369
O  0.250  0.250  0.760
O  0.250  0.485  0.369
O  0.428  0.750  0.595
O  0.429  0.607  0.971
O  0.429  0.893  0.971
O  0.571  0.107  0.029
O  0.571  0.393  0.029
O  0.572  0.250  0.405
O  0.750  0.515  0.631
O  0.750  0.750  0.240
O  0.750  0.985  0.631
O  0.928  0.250  0.405
O  0.929  0.107  0.029
O  0.929  0.393  0.029

Main lines, by angle (2θ from 15° to 90°):
- 25.35°, I = 69, hkl 0 2 1
- 25.57°, I = 84, hkl 2 0 0
- 28.45°, I = 80, hkl 1 2 1
- 29.75°, I = 100, hkl 1 0 2
- 36.31°, I = 79, hkl 2 2 1
- 46.89°, I = 24, hkl 3 2 1
- 47.75°, I = 26, hkl 3 0 2
- 53.79°, I = 40, hkl 1 4 2